1.
Structure and computed powder diffractogram of V3SeS2 (a DFT-relaxed cell (GGA-PBE, Alexandria); copper Kα).

abc: 9.872 8.502 4.544
angles: 90.00 90.00 90.00
Space group Cmcm (No. 63)
Symmetry-distinct sites (fractional):
V1 0.000 0.211 0.250
V2 0.174 0.308 0.750
Se1 0.000 0.105 0.750
S1 0.169 0.394 0.250

Top 6 peaks for 10° ≤ 2θ ≤ 80°, low angle first:
2theta  intensity  hkl
29.1  1000  3 1 0
39.7  683  0 0 2
42.1  426  3 3 0
46.8  877  3 3 1
47.2  401  0 4 1
49.9  400  3 1 2



2.
Structure and computed powder diffractogram of V3Se4S2 (a DFT-relaxed cell (GGA-PBE, Alexandria); copper Kα).

abc: 3.2856 3.2856 20.8386
angles: 90.00 90.00 120.00
Space group P-6m2 (No. 187)
Symmetry-distinct sites (fractional):
V1 0.0000 0.0000 0.0000
V2 0.3333 0.6667 0.3191
Se1 0.0000 0.0000 0.2417
Se2 0.0000 0.0000 0.3967
S1 0.3333 0.6667 0.0701

Top 6 peaks for 10° ≤ 2θ ≤ 80°, low angle first:
2theta  intensity  hkl
12.7  998  0 0 3
31.4  826  1 0 0
38.3  1000  1 0 5
41.0  420  1 0 6
47.3  679  1 0 8
56.0  416  1 1 0



3.
Structure and computed powder diffractogram of VSeS (a DFT-relaxed cell (GGA-PBE, Alexandria); copper Kα).

abc: 5.672 3.275 13.316
angles: 90.00 98.55 90.00
Space group C2/m (No. 12)
Symmetry-distinct sites (fractional):
V1 0.081 0.000 0.231
Se1 0.208 0.000 0.644
S1 0.122 0.500 0.875

Top 6 peaks for 10° ≤ 2θ ≤ 80°, low angle first:
2theta  intensity  hkl
13.4  1000  0 0 2
35.3  442  2 0 -3
35.5  852  1 1 2
43.7  164  1 1 4
45.3  284  1 1 -5
56.2  363  0 2 0



Please write out number 2 again, unchanged.
Structure and computed powder diffractogram of V3Se4S2 (a DFT-relaxed cell (GGA-PBE, Alexandria); copper Kα).

abc: 3.2856 3.2856 20.8386
angles: 90.00 90.00 120.00
Space group P-6m2 (No. 187)
Symmetry-distinct sites (fractional):
V1 0.0000 0.0000 0.0000
V2 0.3333 0.6667 0.3191
Se1 0.0000 0.0000 0.2417
Se2 0.0000 0.0000 0.3967
S1 0.3333 0.6667 0.0701

Top 6 peaks for 10° ≤ 2θ ≤ 80°, low angle first:
2theta  intensity  hkl
12.7  998  0 0 3
31.4  826  1 0 0
38.3  1000  1 0 5
41.0  420  1 0 6
47.3  679  1 0 8
56.0  416  1 1 0



Repeat the third record exactly.
Structure and computed powder diffractogram of VSeS (a DFT-relaxed cell (GGA-PBE, Alexandria); copper Kα).

abc: 5.672 3.275 13.316
angles: 90.00 98.55 90.00
Space group C2/m (No. 12)
Symmetry-distinct sites (fractional):
V1 0.081 0.000 0.231
Se1 0.208 0.000 0.644
S1 0.122 0.500 0.875

Top 6 peaks for 10° ≤ 2θ ≤ 80°, low angle first:
2theta  intensity  hkl
13.4  1000  0 0 2
35.3  442  2 0 -3
35.5  852  1 1 2
43.7  164  1 1 4
45.3  284  1 1 -5
56.2  363  0 2 0